(1)
Starting from a DFT-relaxed cell (GGA-PBE, Alexandria), the X-ray diffraction stick pattern of Cd5In6 was calculated for Cu Kα (weighted mean of Kα1 and Kα2).
Neutral-atom scattering factors, no anomalous dispersion.

Principal peaks in the range 10 to 90 degrees two-theta, most intense first:
- 31.2°, intensity 1000
- 30.9°, intensity 762
- 33.3°, intensity 683
- 32.7°, intensity 644
- 40.4°, intensity 589
- 44.1°, intensity 471
- 40.3°, intensity 437
- 62.7°, intensity 224
- 44.8°, intensity 169
- 66.5°, intensity 166

Cell lengths 6.8228, 6.8228, 7.2777 Å; angles 98.17, 98.17, 117.12 degrees
Fractional coordinates of all 11 atoms:
Cd  0.0000  0.0000  0.0000
Cd  0.1321  0.8679  0.5000
Cd  0.2592  0.7408  0.0000
Cd  0.7408  0.2592  0.0000
Cd  0.8679  0.1321  0.5000
In  0.1902  0.4655  0.3094
In  0.3300  0.3300  0.7977
In  0.4655  0.1902  0.3094
In  0.5345  0.8098  0.6906
In  0.6700  0.6700  0.2023
In  0.8098  0.5345  0.6906

***

(2)
Starting from a DFT-relaxed cell (GGA-PBE, Alexandria), the X-ray diffraction stick pattern of CoSnPd was calculated for Cu Kα (weighted mean of Kα1 and Kα2).
Neutral-atom scattering factors, no anomalous dispersion.

Principal peaks in the range 10 to 90 degrees two-theta, most intense first:
- 41.2°, intensity 1000
- 38.8°, intensity 609
- 71.8°, intensity 381
- 56.0°, intensity 206
- 76.7°, intensity 147
- 89.4°, intensity 104
- 29.0°, intensity 92
- 83.2°, intensity 67
- 63.2°, intensity 65
- 20.1°, intensity 39

Cell lengths 3.2854, 3.2854, 8.8256 Å; angles 90.00, 90.00, 90.00 degrees
Fractional coordinates of all 6 atoms:
Co  0.0000  0.0000  0.0000
Co  0.5000  0.5000  0.5000
Sn  0.0000  0.0000  0.3266
Sn  0.0000  0.0000  0.6734
Pd  0.5000  0.5000  0.1548
Pd  0.5000  0.5000  0.8452

***

(3)
Starting from a DFT-relaxed cell (GGA-PBE, Alexandria), the X-ray diffraction stick pattern of Dy2Fe17C3 was calculated for Cu Kα (weighted mean of Kα1 and Kα2).
Neutral-atom scattering factors, no anomalous dispersion.

Principal peaks in the range 10 to 90 degrees two-theta, most intense first:
- 42.3°, intensity 1000
- 41.9°, intensity 750
- 29.8°, intensity 438
- 36.1°, intensity 405
- 43.4°, intensity 340
- 37.5°, intensity 311
- 61.0°, intensity 212
- 43.2°, intensity 212
- 61.9°, intensity 193
- 76.5°, intensity 166

Cell lengths 6.4933, 6.4933, 6.4933 Å; angles 83.23, 83.23, 83.23 degrees
Fractional coordinates of all 22 atoms:
Dy  0.1567  0.1567  0.1567
Dy  0.8433  0.8433  0.8433
Fe  0.0000  0.5000  0.5000
Fe  0.1566  0.1566  0.6447
Fe  0.1566  0.6447  0.1566
Fe  0.2161  0.5000  0.7839
Fe  0.2161  0.7839  0.5000
Fe  0.3553  0.8434  0.8434
Fe  0.4045  0.4045  0.4045
Fe  0.5000  0.0000  0.5000
Fe  0.5000  0.2161  0.7839
Fe  0.5000  0.5000  0.0000
Fe  0.5000  0.7839  0.2161
Fe  0.5955  0.5955  0.5955
Fe  0.6447  0.1566  0.1566
Fe  0.7839  0.2161  0.5000
Fe  0.7839  0.5000  0.2161
Fe  0.8434  0.3553  0.8434
Fe  0.8434  0.8434  0.3553
C  0.0000  0.0000  0.5000
C  0.0000  0.5000  0.0000
C  0.5000  0.0000  0.0000

***

(4)
Starting from a DFT-relaxed cell (GGA-PBE, Alexandria), the X-ray diffraction stick pattern of TlHgS was calculated for Cu Kα (weighted mean of Kα1 and Kα2).
Neutral-atom scattering factors, no anomalous dispersion.

Principal peaks in the range 10 to 90 degrees two-theta, most intense first:
- 29.4°, intensity 1000
- 26.7°, intensity 733
- 26.9°, intensity 729
- 42.1°, intensity 382
- 40.1°, intensity 282
- 40.3°, intensity 272
- 16.9°, intensity 250
- 61.0°, intensity 220
- 34.1°, intensity 217
- 69.2°, intensity 178

Cell lengths 6.0691, 6.0710, 5.2618 Å; angles 90.00, 90.62, 90.00 degrees
Fractional coordinates of all 6 atoms:
Tl  0.0000  0.0000  0.0000
Tl  0.5000  0.5000  0.0000
Hg  0.4981  0.0000  0.6447
Hg  0.9981  0.5000  0.6447
S  0.4991  0.0000  0.1628
S  0.9991  0.5000  0.1628

***

(5)
Starting from a DFT-relaxed cell (GGA-PBE, Alexandria), the X-ray diffraction stick pattern of YSiSe3 was calculated for Cu Kα (weighted mean of Kα1 and Kα2).
Neutral-atom scattering factors, no anomalous dispersion.

Principal peaks in the range 10 to 90 degrees two-theta, most intense first:
- 37.0°, intensity 1000
- 31.0°, intensity 912
- 34.4°, intensity 859
- 33.0°, intensity 738
- 32.4°, intensity 612
- 47.3°, intensity 586
- 30.0°, intensity 565
- 29.4°, intensity 467
- 37.4°, intensity 461
- 38.3°, intensity 415

Cell lengths 7.8376, 6.6042, 9.1346 Å; angles 90.00, 90.00, 90.00 degrees
Fractional coordinates of all 20 atoms:
Y  0.1140  0.0299  0.0000
Y  0.3860  0.5299  0.5000
Y  0.6140  0.4701  0.0000
Y  0.8860  0.9701  0.5000
Si  0.0663  0.5238  0.2309
Si  0.4337  0.0238  0.7309
Si  0.5663  0.9762  0.2309
Si  0.9337  0.4762  0.7309
Se  0.0350  0.3822  0.4864
Se  0.1705  0.8399  0.3057
Se  0.1797  0.8367  0.6896
Se  0.3203  0.3367  0.1896
Se  0.3295  0.3399  0.8057
Se  0.4650  0.8822  0.9864
Se  0.5350  0.1178  0.4864
Se  0.6705  0.6601  0.3057
Se  0.6797  0.6633  0.6896
Se  0.8203  0.1633  0.1896
Se  0.8295  0.1601  0.8057
Se  0.9650  0.6178  0.9864

***

(6)
Starting from a DFT-relaxed cell (GGA-PBE, Alexandria), the X-ray diffraction stick pattern of Tb3PmTl was calculated for Cu Kα (weighted mean of Kα1 and Kα2).
Neutral-atom scattering factors, no anomalous dispersion.

Principal peaks in the range 10 to 90 degrees two-theta, most intense first:
- 30.9°, intensity 1000
- 30.5°, intensity 710
- 33.7°, intensity 441
- 32.5°, intensity 216
- 38.2°, intensity 197
- 61.4°, intensity 176
- 58.6°, intensity 166
- 47.6°, intensity 162
- 67.7°, intensity 150
- 49.7°, intensity 142

Cell lengths 5.3139, 7.6936, 7.8790 Å; angles 90.00, 90.00, 90.00 degrees
Fractional coordinates of all 10 atoms:
Tb  0.2500  0.0366  0.2159
Tb  0.2500  0.2500  0.7028
Tb  0.2500  0.4634  0.2159
Tb  0.7500  0.5366  0.7841
Tb  0.7500  0.7500  0.2972
Tb  0.7500  0.9634  0.7841
Pm  0.2500  0.7500  0.5604
Pm  0.7500  0.2500  0.4396
Tl  0.2500  0.7500  0.9450
Tl  0.7500  0.2500  0.0550

***

(7)
Starting from a DFT-relaxed cell (GGA-PBE, Alexandria), the X-ray diffraction stick pattern of ScTeO3F was calculated for Cu Kα (weighted mean of Kα1 and Kα2).
Neutral-atom scattering factors, no anomalous dispersion.

Principal peaks in the range 10 to 90 degrees two-theta, most intense first:
- 27.2°, intensity 1000
- 22.0°, intensity 296
- 22.3°, intensity 277
- 32.7°, intensity 251
- 23.9°, intensity 186
- 46.5°, intensity 173
- 25.5°, intensity 172
- 62.6°, intensity 164
- 15.9°, intensity 145
- 51.7°, intensity 136

Cell lengths 5.8467, 22.3132, 5.6035 Å; angles 90.00, 90.00, 90.00 degrees
Fractional coordinates of all 48 atoms:
Sc  0.0681  0.2500  0.2500
Sc  0.2500  0.0000  0.1741
Sc  0.2500  0.5000  0.3259
Sc  0.4319  0.7500  0.2500
Sc  0.5681  0.2500  0.7500
Sc  0.7500  0.0000  0.8259
Sc  0.7500  0.5000  0.6741
Sc  0.9319  0.7500  0.7500
Te  0.2088  0.6072  0.8104
Te  0.2088  0.8928  0.6896
Te  0.2912  0.1072  0.6896
Te  0.2912  0.3928  0.8104
Te  0.7088  0.6072  0.1896
Te  0.7088  0.8928  0.3104
Te  0.7912  0.1072  0.3104
Te  0.7912  0.3928  0.1896
O  0.0434  0.1610  0.3565
O  0.0434  0.3390  0.1435
O  0.0567  0.5503  0.5974
O  0.0567  0.9497  0.9026
O  0.1313  0.5607  0.0805
O  0.1313  0.9393  0.4195
O  0.3687  0.0607  0.4195
O  0.3687  0.4393  0.0805
O  0.4433  0.0503  0.9026
O  0.4433  0.4497  0.5974
O  0.4566  0.6610  0.1435
O  0.4566  0.8390  0.3565
O  0.5434  0.1610  0.6435
O  0.5434  0.3390  0.8565
O  0.5567  0.5503  0.4026
O  0.5567  0.9497  0.0974
O  0.6313  0.5607  0.9195
O  0.6313  0.9393  0.5805
O  0.8687  0.0607  0.5805
O  0.8687  0.4393  0.9195
O  0.9433  0.0503  0.0974
O  0.9433  0.4497  0.4026
O  0.9566  0.6610  0.8565
O  0.9566  0.8390  0.6435
F  0.1897  0.7306  0.5023
F  0.1897  0.7694  0.9977
F  0.3103  0.2306  0.9977
F  0.3103  0.2694  0.5023
F  0.6897  0.7306  0.4977
F  0.6897  0.7694  0.0023
F  0.8103  0.2306  0.0023
F  0.8103  0.2694  0.4977

***

(8)
Starting from a DFT-relaxed cell (GGA-PBE, Alexandria), the X-ray diffraction stick pattern of Pu2Ga2Pt3 was calculated for Cu Kα (weighted mean of Kα1 and Kα2).
Neutral-atom scattering factors, no anomalous dispersion.

Principal peaks in the range 10 to 90 degrees two-theta, most intense first:
- 33.4°, intensity 1000
- 34.4°, intensity 986
- 44.2°, intensity 337
- 47.3°, intensity 321
- 42.1°, intensity 273
- 30.7°, intensity 249
- 73.9°, intensity 201
- 62.7°, intensity 176
- 39.7°, intensity 141
- 37.6°, intensity 139

Cell lengths 9.7744, 9.7744, 7.2148 Å; angles 90.00, 90.00, 155.80 degrees
Fractional coordinates of all 14 atoms:
Pu  0.0585  0.9415  0.7500
Pu  0.1494  0.8506  0.2500
Pu  0.8506  0.1494  0.7500
Pu  0.9415  0.0585  0.2500
Ga  0.3073  0.6927  0.0541
Ga  0.3073  0.6927  0.4459
Ga  0.6927  0.3073  0.5541
Ga  0.6927  0.3073  0.9459
Pt  0.2266  0.7734  0.7500
Pt  0.4340  0.5660  0.5531
Pt  0.4340  0.5660  0.9469
Pt  0.5660  0.4340  0.0531
Pt  0.5660  0.4340  0.4469
Pt  0.7734  0.2266  0.2500

***

(9)
Starting from a DFT-relaxed cell (GGA-PBE, Alexandria), the X-ray diffraction stick pattern of Tm2Hf2S7 was calculated for Cu Kα (weighted mean of Kα1 and Kα2).
Neutral-atom scattering factors, no anomalous dispersion.

Principal peaks in the range 10 to 90 degrees two-theta, most intense first:
- 25.3°, intensity 1000
- 37.1°, intensity 899
- 43.1°, intensity 626
- 29.3°, intensity 554
- 26.3°, intensity 543
- 25.7°, intensity 493
- 45.1°, intensity 338
- 49.0°, intensity 322
- 68.1°, intensity 264
- 55.9°, intensity 238

Cell lengths 8.2608, 8.2608, 8.2608 Å; angles 153.97, 66.00, 120.54 degrees
Fractional coordinates of all 11 atoms:
Tm  0.0000  0.0000  0.0000
Tm  0.5317  0.0317  0.5000
Hf  0.0545  0.7989  0.2555
Hf  0.5434  0.7989  0.7445
S  0.2231  0.7231  0.5000
S  0.2922  0.1056  0.1865
S  0.3441  0.4923  0.8518
S  0.6405  0.4923  0.1482
S  0.7005  0.3140  0.3865
S  0.9191  0.1056  0.8135
S  0.9275  0.3140  0.6135